Entry 1:
Simulated powder XRD pattern
Compound: ZnCdS2
Radiation: λ = 1.5418 Å (Cu Kα)
Structure: a cell relaxed with PBE

Principal peaks in the range 10 to 80 degrees two-theta, low angle first:
- 25.6°, I 72
- 26.9°, I 45
- 29.0°, I 100
- 37.5°, I 35
- 45.2°, I 53
- 48.8°, I 56
- 53.4°, I 38
- 54.6°, I 17
- 68.7°, I 19
- 73.5°, I 13

Crystal structure
Unit cell a=4.011 b=4.011 c=6.631 alpha=90.00 beta=90.00 gamma=120.00
Positions (direct):
Zn 0.000 0.000 0.000
Cd 0.333 0.667 0.506
S 0.000 0.000 0.355
S 0.333 0.667 0.892

Entry 2:
Simulated powder XRD pattern
Compound: ZnCdS2
Radiation: λ = 1.5418 Å (Cu Kα)
Structure: a cell relaxed with PBE

Principal peaks in the range 10 to 80 degrees two-theta, low angle first:
- 27.1°, I 100
- 31.1°, I 7
- 31.6°, I 12
- 44.9°, I 38
- 45.3°, I 19
- 53.0°, I 14
- 53.6°, I 28
- 65.9°, I 6
- 72.2°, I 11
- 72.7°, I 5

Crystal structure
Unit cell a=4.007 b=4.007 c=5.747 alpha=90.00 beta=90.00 gamma=90.00
Positions (direct):
Zn 0.000 0.000 0.000
Cd 0.500 0.500 0.500
S 0.000 0.500 0.224
S 0.500 0.000 0.776

Entry 3:
Simulated powder XRD pattern
Compound: ZnCd3S4
Radiation: λ = 1.5418 Å (Cu Kα)
Structure: a cell relaxed with PBE

Principal peaks in the range 10 to 80 degrees two-theta, low angle first:
- 21.6°, I 2
- 26.6°, I 100
- 30.8°, I 21
- 34.5°, I 2
- 44.1°, I 57
- 52.2°, I 43
- 54.7°, I 6
- 64.1°, I 9
- 70.6°, I 17
- 72.7°, I 7

Crystal structure
Unit cell a=5.813 b=5.813 c=5.813 alpha=90.00 beta=90.00 gamma=90.00
Positions (direct):
Zn 0.000 0.000 0.000
Cd 0.000 0.500 0.500
Cd 0.500 0.000 0.500
Cd 0.500 0.500 0.000
S 0.237 0.237 0.237
S 0.237 0.763 0.763
S 0.763 0.237 0.763
S 0.763 0.763 0.237

Entry 4:
Simulated powder XRD pattern
Compound: CdSb3
Radiation: λ = 1.5418 Å (Cu Kα)
Structure: a cell relaxed with PBE

Principal peaks in the range 10 to 80 degrees two-theta, low angle first:
- 31.3°, I 53
- 35.1°, I 100
- 44.9°, I 17
- 55.8°, I 17
- 58.2°, I 23
- 65.2°, I 4
- 65.3°, I 23
- 67.6°, I 14
- 74.2°, I 7

Crystal structure
Unit cell a=6.594 b=6.594 c=5.721 alpha=90.00 beta=90.00 gamma=120.00
Positions (direct):
Cd 0.333 0.667 0.250
Cd 0.667 0.333 0.750
Sb 0.171 0.343 0.750
Sb 0.171 0.829 0.750
Sb 0.343 0.171 0.250
Sb 0.657 0.829 0.750
Sb 0.829 0.171 0.250
Sb 0.829 0.657 0.250

Entry 5:
Simulated powder XRD pattern
Compound: Cd6Sb5
Radiation: λ = 1.5418 Å (Cu Kα)
Structure: a cell relaxed with PBE

Principal peaks in the range 10 to 80 degrees two-theta, low angle first:
- 14.3°, I 100
- 16.5°, I 36
- 19.2°, I 29
- 26.5°, I 18
- 30.0°, I 41
- 32.7°, I 9
- 37.9°, I 25
- 38.1°, I 20
- 43.3°, I 20
- 43.9°, I 12

Crystal structure
Unit cell a=12.885 b=12.885 c=12.885 alpha=112.73 beta=112.73 gamma=112.73
Positions (direct):
Cd 0.018 0.445 0.571
Cd 0.055 0.482 0.929
Cd 0.071 0.945 0.518
Cd 0.429 0.982 0.555
Cd 0.445 0.571 0.018
Cd 0.482 0.929 0.055
Cd 0.518 0.071 0.945
Cd 0.555 0.429 0.982
Cd 0.571 0.018 0.445
Cd 0.929 0.055 0.482
Cd 0.945 0.518 0.071
Cd 0.982 0.555 0.429
Sb 0.120 0.380 0.750
Sb 0.127 0.127 0.127
Sb 0.250 0.880 0.620
Sb 0.373 0.373 0.373
Sb 0.380 0.750 0.120
Sb 0.620 0.250 0.880
Sb 0.627 0.627 0.627
Sb 0.750 0.120 0.380
Sb 0.873 0.873 0.873
Sb 0.880 0.620 0.250

Entry 6:
Simulated powder XRD pattern
Compound: CdSb
Radiation: λ = 1.5418 Å (Cu Kα)
Structure: a cell relaxed with PBE

Principal peaks in the range 10 to 80 degrees two-theta, low angle first:
- 21.1°, I 23
- 24.4°, I 17
- 26.6°, I 100
- 27.1°, I 64
- 30.8°, I 56
- 36.1°, I 25
- 40.5°, I 66
- 41.3°, I 30
- 42.8°, I 37
- 43.8°, I 26

Crystal structure
Unit cell a=6.600 b=8.427 c=8.748 alpha=90.00 beta=90.00 gamma=90.00
Positions (direct):
Cd 0.047 0.121 0.133
Cd 0.047 0.379 0.633
Cd 0.453 0.621 0.133
Cd 0.453 0.879 0.633
Cd 0.547 0.121 0.367
Cd 0.547 0.379 0.867
Cd 0.953 0.621 0.367
Cd 0.953 0.879 0.867
Sb 0.139 0.573 0.896
Sb 0.139 0.927 0.396
Sb 0.361 0.073 0.896
Sb 0.361 0.427 0.396
Sb 0.639 0.573 0.604
Sb 0.639 0.927 0.104
Sb 0.861 0.073 0.604
Sb 0.861 0.427 0.104

Entry 7:
Simulated powder XRD pattern
Compound: CdSb
Radiation: λ = 1.5418 Å (Cu Kα)
Structure: a cell relaxed with PBE

Principal peaks in the range 10 to 80 degrees two-theta, low angle first:
- 28.7°, I 67
- 32.1°, I 100
- 32.7°, I 48
- 43.6°, I 85
- 44.1°, I 41
- 58.0°, I 18
- 64.9°, I 12
- 66.0°, I 24
- 69.2°, I 21
- 74.6°, I 17

Crystal structure
Unit cell a=3.109 b=3.239 c=5.474 alpha=90.00 beta=90.00 gamma=90.00
Positions (direct):
Cd 0.000 0.000 0.000
Sb 0.000 0.500 0.500

Entry 8:
Simulated powder XRD pattern
Compound: SrCd2Sb2
Radiation: λ = 1.5418 Å (Cu Kα)
Structure: a cell relaxed with PBE

Principal peaks in the range 10 to 80 degrees two-theta, low angle first:
- 21.4°, I 30
- 24.2°, I 63
- 31.2°, I 92
- 37.5°, I 100
- 40.5°, I 56
- 49.6°, I 25
- 56.4°, I 21
- 62.9°, I 19
- 63.8°, I 23
- 69.7°, I 21

Crystal structure
Unit cell a=4.797 b=4.797 c=7.906 alpha=90.00 beta=90.00 gamma=120.00
Positions (direct):
Sr 0.000 0.000 0.000
Cd 0.333 0.667 0.368
Cd 0.667 0.333 0.632
Sb 0.333 0.667 0.750
Sb 0.667 0.333 0.250